[1]
# CaMg2InHg2
Calculated powder X-ray diffraction pattern, CuKα. Input: a crystal structure in Alexandria, relaxed with GGA-PBE.

The 12 most intense peaks (2θ from 5° to 70°), sorted by position:
- 3.630 Å, I = 100
- 2.636 Å, I = 72
- 2.503 Å, I = 72
- 2.061 Å, I = 22
- 1.999 Å, I = 11
- 1.971 Å, I = 12
- 1.815 Å, I = 24
- 1.658 Å, I = 12
- 1.591 Å, I = 20
- 1.549 Å, I = 15
- 1.469 Å, I = 24
- 1.445 Å, I = 13

```
6
Lattice="5.007 0.000 0.000 -2.503 4.336 0.000 0.000 0.000 6.638" Properties=species:S:1:pos:R:3 pbc="T T T"
Ca 0.000 0.000 0.000
Mg 0.000 2.891 4.565
Mg 2.503 1.445 2.073
In 0.000 0.000 3.319
Hg 0.000 2.891 1.412
Hg 2.503 1.445 5.226
```

=====

[2]
# CaTb2InHg4
Calculated powder X-ray diffraction pattern, CuKα. Input: a crystal structure in Alexandria, relaxed with GGA-PBE.

The 12 most intense peaks (2θ from 5° to 70°), sorted by position:
- 4.254 Å, I = 6
- 3.700 Å, I = 15
- 2.863 Å, I = 6
- 2.633 Å, I = 97
- 2.599 Å, I = 100
- 2.127 Å, I = 4
- 1.850 Å, I = 35
- 1.646 Å, I = 4
- 1.527 Å, I = 15
- 1.507 Å, I = 36
- 1.501 Å, I = 19
- 1.441 Å, I = 5

```
8
Lattice="2.599 1.501 8.655 -2.599 1.501 8.655 0.000 -3.002 8.655" Properties=species:S:1:pos:R:3 pbc="T T T"
Ca 0.000 0.000 0.000
Tb 0.000 0.000 6.330
Tb 0.000 0.000 19.635
In 0.000 0.000 12.983
Hg 0.000 0.000 3.149
Hg 0.000 0.000 9.589
Hg 0.000 0.000 16.376
Hg 0.000 0.000 22.816
```

=====

[3]
# CaInTc2Hg
Calculated powder X-ray diffraction pattern, CuKα. Input: a crystal structure in Alexandria, relaxed with GGA-PBE.

The 12 most intense peaks (2θ from 5° to 70°), sorted by position:
- 5.115 Å, I = 100
- 3.617 Å, I = 15
- 2.982 Å, I = 79
- 2.634 Å, I = 41
- 2.558 Å, I = 76
- 2.342 Å, I = 29
- 2.288 Å, I = 27
- 1.835 Å, I = 56
- 1.808 Å, I = 27
- 1.727 Å, I = 23
- 1.546 Å, I = 22
- 1.491 Å, I = 28

```
5
Lattice="5.115 0.000 0.000 0.000 5.115 0.000 0.000 0.000 5.268" Properties=species:S:1:pos:R:3 pbc="T T T"
Ca 0.000 0.000 0.000
In 2.558 2.558 2.634
Tc 0.000 2.558 2.634
Tc 2.558 0.000 2.634
Hg 2.558 2.558 0.000
```

=====

- What is the formula in the second record?
  CaTb2InHg4